Starting from a GGA-PBE-relaxed structure, the powder X-ray diffraction pattern of CrSn2 was simulated for a wavelength of 1.5418 Å.

Principal peaks in the range 2θ from 15° to 90°, low angle first:
2θ/deg  I (rel.)  h k l
30.89  54  1 1 5
33.62  100  1 3 1
34.57  88  2 0 2
34.99  78  0 2 6
36.42  62  1 3 3
39.28  83  1 1 7
43.39  76  2 2 4
43.52  40  0 4 4
60.48  54  0 6 2
69.83  30  2 6 0

Structural model:
Lattice parameters (Å, degrees): 5.407 9.321 18.426 90.00 90.00 90.00
Space group Fddd (No. 70, origin choice 2)
Unique sites:
Cr (0.125, 0.125, 0.252) x16
Sn (0.125, 0.125, 0.544) x16
Sn (0.125, 0.290, 0.125) x16